Entry 1:
Theoretical X-ray powder pattern
Compound: Ba3Ge3Au8
Radiation: Cu Kα (λ = 1.5418 Å)
Structure: the GGA-PBE geometry in Alexandria

a = 17.743 Å, b = 4.704 Å, c = 9.682 Å
α = 90.00°, β = 122.34°, γ = 90.00°
Space group C2/m (No. 12)
Asymmetric unit:
Ba 0.000 0.000 0.000
Ba 0.206 0.500 0.673
Ge 0.000 0.000 0.500
Ge 0.171 0.500 0.014
Au 0.019 0.500 0.705
Au 0.108 0.000 0.390
Au 0.139 0.500 0.255
Au 0.144 0.000 0.865

Most intense lines, 10° ≤ 2θ ≤ 80°, most intense first:
2θ/deg  I (rel.)
31.87  100.0
31.99  64.6
38.27  58.7
35.93  40.6
18.33  23.7
41.85  21.8
28.36  21.3
35.51  18.9
33.68  17.0
32.14  16.9
52.07  16.3
42.50  15.0

***

Entry 2:
Theoretical X-ray powder pattern
Compound: Ba2InGeAu6
Radiation: Cu Kα (λ = 1.5418 Å)
Structure: the GGA-PBE geometry in Alexandria

a = 12.906 Å, b = 6.160 Å, c = 8.841 Å
α = 90.00°, β = 130.30°, γ = 90.00°
Space group C2/m (No. 12)
Asymmetric unit:
Ba 0.248 0.000 0.203
In 0.000 0.500 0.000
Ge 0.000 0.000 0.500
Au 0.018 0.247 0.275
Au 0.249 0.000 0.618

Most intense lines, 10° ≤ 2θ ≤ 80°, most intense first:
2θ/deg  I (rel.)
34.35  100.0
35.54  81.9
36.51  67.8
26.79  43.3
27.81  35.2
26.44  35.0
26.08  30.2
13.13  27.3
13.80  26.5
39.63  25.7
52.66  25.6
40.61  25.1

***

Entry 3:
Theoretical X-ray powder pattern
Compound: Ba2In6GeAu
Radiation: Cu Kα (λ = 1.5418 Å)
Structure: the GGA-PBE geometry in Alexandria

a = 7.3206 Å, b = 7.3206 Å, c = 40.2498 Å
α = 90.00°, β = 90.00°, γ = 120.00°
Space group R-3m (No. 166, hexagonal axes)
Asymmetric unit:
Ba 0.0000 0.0000 0.1062
Ba 0.0000 0.0000 0.2795
In 0.0549 0.5275 0.3022
In 0.0556 0.5278 0.8657
Ge 0.0000 0.0000 0.4259
Au 0.0000 0.0000 0.0000
Au 0.0000 0.0000 0.5000

Most intense lines, 10° ≤ 2θ ≤ 80°, most intense first:
2θ/deg  I (rel.)
32.23  100.0
30.30  70.3
47.63  48.1
49.82  43.6
37.81  43.3
24.32  40.0
28.16  34.2
26.23  31.6
38.62  29.1
36.07  26.5
13.20  22.6
60.26  21.2

***

Entry 4:
Theoretical X-ray powder pattern
Compound: Ba2Ge2SbAu6
Radiation: Cu Kα (λ = 1.5418 Å)
Structure: the GGA-PBE geometry in Alexandria

a = 6.8335 Å, b = 6.8335 Å, c = 26.4263 Å
α = 90.00°, β = 90.00°, γ = 120.00°
Space group R-3m (No. 166, hexagonal axes)
Asymmetric unit:
Ba 0.0000 0.0000 0.2083
Ge 0.0000 0.0000 0.4538
Sb 0.0000 0.0000 0.0000
Au 0.0509 0.5255 0.7520

Most intense lines, 10° ≤ 2θ ≤ 80°, most intense first:
2θ/deg  I (rel.)
33.18  100.0
30.98  72.2
20.16  60.8
16.41  42.4
40.95  37.3
53.66  27.7
43.96  25.9
47.23  25.1
40.50  24.3
15.34  23.5
64.59  20.8
57.92  19.6

***

Entry 5:
Theoretical X-ray powder pattern
Compound: Ba2SiGe3Au4
Radiation: Cu Kα (λ = 1.5418 Å)
Structure: the GGA-PBE geometry in Alexandria

a = 4.639 Å, b = 4.639 Å, c = 10.748 Å
α = 90.00°, β = 90.00°, γ = 90.00°
Space group P-4m2 (No. 115)
Asymmetric unit:
Ba 0.000 0.500 0.250
Si 0.000 0.000 0.500
Ge 0.000 0.500 0.870
Ge 0.500 0.500 0.500
Au 0.000 0.000 0.000
Au 0.000 0.500 0.616
Au 0.500 0.500 0.000

Most intense lines, 10° ≤ 2θ ≤ 80°, most intense first:
2θ/deg  I (rel.)
31.97  100.0
38.82  96.6
31.55  90.1
28.45  57.9
43.54  48.8
50.86  47.3
56.07  33.7
46.59  33.4
66.02  24.9
58.73  24.5
62.20  23.6
73.56  20.9

***

Entry 6:
Theoretical X-ray powder pattern
Compound: Ba2Sn3GeAu4
Radiation: Cu Kα (λ = 1.5418 Å)
Structure: the GGA-PBE geometry in Alexandria

a = 4.886 Å, b = 4.886 Å, c = 11.048 Å
α = 90.00°, β = 90.00°, γ = 90.00°
Space group P-4m2 (No. 115)
Asymmetric unit:
Ba 0.000 0.500 0.248
Sn 0.000 0.500 0.873
Sn 0.500 0.500 0.500
Ge 0.000 0.000 0.500
Au 0.000 0.000 0.000
Au 0.000 0.500 0.621
Au 0.500 0.500 0.000

Most intense lines, 10° ≤ 2θ ≤ 80°, most intense first:
2θ/deg  I (rel.)
30.52  100.0
36.79  96.2
30.39  75.8
41.88  56.9
48.44  42.0
62.40  36.4
53.01  34.0
69.74  26.0
45.03  23.2
79.77  21.2
59.50  20.4
56.64  19.9

***

Entry 7:
Theoretical X-ray powder pattern
Compound: Ba2SnGe3Au12
Radiation: Cu Kα (λ = 1.5418 Å)
Structure: the GGA-PBE geometry in Alexandria

a = 8.9424 Å, b = 8.9424 Å, c = 21.7700 Å
α = 90.00°, β = 90.00°, γ = 120.00°
Space group R-3m (No. 166, hexagonal axes)
Asymmetric unit:
Ba 0.0000 0.0000 0.1120
Sn 0.0000 0.0000 0.5000
Ge 0.0000 0.5000 0.0000
Au 0.0098 0.5049 0.1255
Au 0.0981 0.5490 0.3887

Most intense lines, 10° ≤ 2θ ≤ 80°, most intense first:
2θ/deg  I (rel.)
28.29  100.0
40.52  69.7
40.34  47.4
19.94  42.5
36.96  34.0
23.44  29.5
42.29  27.5
42.41  25.6
14.03  24.5
12.15  22.1
67.52  20.1
47.13  18.3

***

Entry 8:
Theoretical X-ray powder pattern
Compound: BaVGeAu2
Radiation: Cu Kα (λ = 1.5418 Å)
Structure: the GGA-PBE geometry in Alexandria

a = 5.009 Å, b = 5.009 Å, c = 5.973 Å
α = 90.00°, β = 90.00°, γ = 90.00°
Space group P4/mmm (No. 123)
Asymmetric unit:
Ba 0.000 0.000 0.000
V 0.000 0.000 0.500
Ge 0.500 0.500 0.000
Au 0.000 0.500 0.500

Most intense lines, 10° ≤ 2θ ≤ 80°, most intense first:
2θ/deg  I (rel.)
29.32  100.0
35.86  41.4
47.37  37.6
29.92  33.4
60.47  26.6
14.83  22.2
52.74  19.9
60.81  17.8
51.61  14.6
76.92  13.5
73.90  10.1
39.00  8.9

***

Entry 9:
Theoretical X-ray powder pattern
Compound: Ba2H6Au3
Radiation: Cu Kα (λ = 1.5418 Å)
Structure: the GGA-PBE geometry in Alexandria

a = 5.687 Å, b = 8.376 Å, c = 9.618 Å
α = 103.35°, β = 97.25°, γ = 107.43°
Space group P-1 (No. 2)
Asymmetric unit:
Ba 0.209 0.310 0.052
Ba 0.240 0.795 0.546
H 0.040 0.985 0.885
H 0.060 0.433 0.322
H 0.253 0.090 0.456
H 0.269 0.673 0.993
H 0.364 0.400 0.801
H 0.487 0.137 0.649
Au 0.125 0.039 0.278
Au 0.154 0.491 0.752
Au 0.371 0.769 0.175

Most intense lines, 10° ≤ 2θ ≤ 80°, most intense first:
2θ/deg  I (rel.)
27.94  100.0
25.75  96.6
32.66  86.9
34.15  71.9
32.07  65.7
31.84  63.1
32.92  56.9
40.32  45.2
19.41  43.4
12.79  41.3
28.30  38.2
33.18  37.8

***

Entry 10:
Theoretical X-ray powder pattern
Compound: Ba8HAu3
Radiation: Cu Kα (λ = 1.5418 Å)
Structure: the GGA-PBE geometry in Alexandria

a = 15.971 Å, b = 9.404 Å, c = 9.252 Å
α = 90.00°, β = 124.15°, γ = 90.00°
Space group C2/m (No. 12)
Asymmetric unit:
Ba 0.003 0.242 0.240
Ba 0.237 0.000 0.242
Ba 0.246 0.500 0.254
H 0.000 0.000 0.000
Au 0.000 0.500 0.000
Au 0.250 0.250 0.500

Most intense lines, 10° ≤ 2θ ≤ 80°, most intense first:
2θ/deg  I (rel.)
27.02  100.0
38.27  39.8
11.80  38.7
38.91  37.0
47.48  21.2
22.18  18.8
62.55  18.4
35.57  12.3
23.22  11.5
63.40  11.0
69.58  8.7
55.76  8.6

***

Entry 11:
Theoretical X-ray powder pattern
Compound: Ba2H4IrAu2
Radiation: Cu Kα (λ = 1.5418 Å)
Structure: the GGA-PBE geometry in Alexandria

a = 6.334 Å, b = 6.334 Å, c = 8.106 Å
α = 90.00°, β = 90.00°, γ = 90.00°
Space group I4/mmm (No. 139)
Asymmetric unit:
Ba 0.000 0.500 0.250
H 0.190 0.190 0.000
Ir 0.000 0.000 0.000
Au 0.000 0.000 0.336

Most intense lines, 10° ≤ 2θ ≤ 80°, most intense first:
2θ/deg  I (rel.)
28.18  100.0
36.14  50.7
46.45  50.0
40.28  39.5
19.82  32.9
63.12  22.4
65.96  18.6
70.51  17.6
29.73  17.3
55.21  15.0
73.17  13.8
58.27  13.4

***

Entry 12:
Theoretical X-ray powder pattern
Compound: BaH6Au2N2
Radiation: Cu Kα (λ = 1.5418 Å)
Structure: the GGA-PBE geometry in Alexandria

a = 4.913 Å, b = 6.344 Å, c = 6.363 Å
α = 75.38°, β = 67.33°, γ = 88.61°
Space group P-1 (No. 2)
Asymmetric unit:
Ba 0.000 0.000 0.000
H 0.033 0.440 0.259
H 0.220 0.432 0.574
H 0.294 0.548 0.750
Au 0.313 0.068 0.371
N 0.132 0.456 0.740

Most intense lines, 10° ≤ 2θ ≤ 80°, most intense first:
2θ/deg  I (rel.)
14.48  100.0
29.74  20.9
29.95  20.9
30.26  17.6
29.19  17.4
35.76  17.2
30.50  16.7
36.59  16.6
36.34  16.4
18.33  14.2
37.13  11.3
39.90  10.1

***

What did the second record say?
Theoretical X-ray powder pattern
Compound: Ba2InGeAu6
Radiation: Cu Kα (λ = 1.5418 Å)
Structure: the GGA-PBE geometry in Alexandria

a = 12.906 Å, b = 6.160 Å, c = 8.841 Å
α = 90.00°, β = 130.30°, γ = 90.00°
Space group C2/m (No. 12)
Asymmetric unit:
Ba 0.248 0.000 0.203
In 0.000 0.500 0.000
Ge 0.000 0.000 0.500
Au 0.018 0.247 0.275
Au 0.249 0.000 0.618

Most intense lines, 10° ≤ 2θ ≤ 80°, most intense first:
2θ/deg  I (rel.)
34.35  100.0
35.54  81.9
36.51  67.8
26.79  43.3
27.81  35.2
26.44  35.0
26.08  30.2
13.13  27.3
13.80  26.5
39.63  25.7
52.66  25.6
40.61  25.1